Record 1
Structure and calculated X-ray powder pattern of Tb3Ga2Rh3 (a cell relaxed with PBE; λ = 1.5418 Å (Cu Kα)).
Kinematic intensities with the Lorentz-polarization factor, no thermal factor.

Principal peaks in the range 2θ = 10–90°, in order of falling intensity:
2θ (°)  I/Imax  (hkl)
33.62  100  2 4 0
38.28  52  1 3 2
39.06  48  3 0 1
35.82  41  0 6 0
37.24  40  2 4 1
30.85  36  1 4 1
34.21  33  1 1 2
41.57  32  1 4 2
28.96  15  2 1 1
50.86  13  4 0 1

Structure:
```
data_Tb3Ga2Rh3
_cell_length_a 7.5676
_cell_length_b 15.0358
_cell_length_c 5.6870
_cell_angle_alpha 90.00
_cell_angle_beta 90.00
_cell_angle_gamma 90.00
_symmetry_space_group_name_H-M 'P n m a'
_symmetry_Int_Tables_number 62
_symmetry_space_group_name_Hall '-P 2ac 2n'
loop_
_atom_site_label
_atom_site_type_symbol
_atom_site_fract_x
_atom_site_fract_y
_atom_site_fract_z
Tb1 Tb 0.0295 0.1046 0.1405
Tb2 Tb 0.1738 0.2500 0.6020
Ga1 Ga 0.1163 0.6075 0.3651
Rh1 Rh 0.1779 0.7500 0.6180
Rh2 Rh 0.1807 0.0356 0.5865
```

Record 2
Structure and calculated X-ray powder pattern of K10Na4In (a cell relaxed with PBE; λ = 1.5418 Å (Cu Kα)).
Kinematic intensities with the Lorentz-polarization factor, no thermal factor.

Principal peaks in the range 2θ = 10–90°, in order of falling intensity:
2θ (°)  I/Imax  (hkl)
27.37  100  1 3 2
27.54  47  4 2 0
16.69  44  2 1 1
48.59  32  7 1 2
11.33  25  1 0 1
39.34  17  2 6 0
48.28  17  4 2 4
32.38  17  3 4 1
19.38  13  1 3 0
64.27  12  10 0 0

Structure:
```
data_K10Na4In
_cell_length_a 14.4859
_cell_length_b 14.4859
_cell_length_c 9.2713
_cell_angle_alpha 90.00
_cell_angle_beta 90.00
_cell_angle_gamma 90.00
_symmetry_space_group_name_H-M 'I 4/m'
_symmetry_Int_Tables_number 87
_symmetry_space_group_name_Hall '-I 4'
loop_
_atom_site_label
_atom_site_type_symbol
_atom_site_fract_x
_atom_site_fract_y
_atom_site_fract_z
K1 K 0.0000 0.5000 0.2500
K2 K 0.0978 0.8135 0.2324
Na1 Na 0.0957 0.2979 0.5000
In1 In 0.0000 0.0000 0.0000
```

Record 3
Structure and calculated X-ray powder pattern of PrSi2Ni6 (a cell relaxed with PBE; λ = 1.5418 Å (Cu Kα)).
Kinematic intensities with the Lorentz-polarization factor, no thermal factor.

Principal peaks in the range 2θ = 10–90°, in order of falling intensity:
2θ (°)  I/Imax  (hkl)
39.48  100  1 1 2
44.82  67  2 0 0
48.05  30  1 1 3
32.38  29  1 0 2
79.00  25  3 1 2
24.95  24  1 0 1
65.24  21  2 2 0
58.44  19  1 1 4
42.18  18  1 0 3
33.49  18  1 1 1

Structure:
```
data_PrSi2Ni6
_cell_length_a 4.0447
_cell_length_b 4.0447
_cell_length_c 7.5783
_cell_angle_alpha 90.00
_cell_angle_beta 90.00
_cell_angle_gamma 90.00
_symmetry_space_group_name_H-M 'P 4/m m m'
_symmetry_Int_Tables_number 123
_symmetry_space_group_name_Hall '-P 4 2'
loop_
_atom_site_label
_atom_site_type_symbol
_atom_site_fract_x
_atom_site_fract_y
_atom_site_fract_z
Pr1 Pr 0.0000 0.0000 0.0000
Si1 Si 0.5000 0.5000 0.1709
Ni1 Ni 0.0000 0.0000 0.5000
Ni2 Ni 0.0000 0.5000 0.3143
Ni3 Ni 0.5000 0.5000 0.5000
```